Computed PXRD pattern
Compound: NbTe2Se2I6
Radiation: CuKα
Structure: a crystal structure in the Materials Project, relaxed with GGA-PBE

Atomic structure:
```
data_NbTe2Se2I6
_cell_length_a 11.5499
_cell_length_b 12.3099
_cell_length_c 15.9082
_cell_angle_alpha 98.12
_cell_angle_beta 95.69
_cell_angle_gamma 117.71
_space_group_name_H-M_alt 'P 1'
_space_group_IT_number 1
loop_
_space_group_symop_operation_xyz
'x,y,z'
loop_
_atom_site_label
_atom_site_fract_x
_atom_site_fract_y
_atom_site_fract_z
_atom_site_occupancy
Nb1 0.0294 0.4916 0.2505 1
Nb2 0.1642 0.4159 0.7502 1
Nb3 0.8358 0.5841 0.2498 1
Nb4 0.9706 0.5084 0.7495 1
Te1 0.0448 0.7745 0.7607 1
Te2 0.0938 0.1524 0.7480 1
Te3 0.3180 0.6516 0.2622 1
Te4 0.4510 0.5757 0.7539 1
Te5 0.5490 0.4243 0.2461 1
Te6 0.6820 0.3484 0.7378 1
Te7 0.9062 0.8476 0.2520 1
Te8 0.9552 0.2255 0.2393 1
Se1 0.0084 0.3888 0.8655 1
Se2 0.0467 0.6701 0.3733 1
Se3 0.1253 0.5347 0.6336 1
Se4 0.1806 0.5932 0.8732 1
Se5 0.8194 0.4068 0.1268 1
Se6 0.8747 0.4653 0.3664 1
Se7 0.9533 0.3299 0.6267 1
Se8 0.9916 0.6112 0.1345 1
I1 0.0426 0.9240 0.1168 1
I2 0.1185 0.0032 0.3890 1
I3 0.1504 0.3958 0.1229 1
I4 0.1975 0.4442 0.3787 1
I5 0.2064 0.8678 0.6401 1
I6 0.2420 0.9230 0.9101 1
I7 0.2769 0.3121 0.6214 1
I8 0.3417 0.3808 0.8797 1
I9 0.3601 0.8007 0.1395 1
I10 0.4263 0.8472 0.4127 1
I11 0.4435 0.2185 0.1052 1
I12 0.4832 0.7041 0.6183 1
I13 0.5168 0.2959 0.3817 1
I14 0.5565 0.7815 0.8948 1
I15 0.5737 0.1528 0.5873 1
I16 0.6399 0.1993 0.8605 1
I17 0.6583 0.6192 0.1203 1
I18 0.7231 0.6879 0.3786 1
I19 0.7580 0.0770 0.0899 1
I20 0.7936 0.1322 0.3599 1
I21 0.8025 0.5558 0.6213 1
I22 0.8496 0.6042 0.8771 1
I23 0.8815 0.9968 0.6110 1
I24 0.9574 0.0760 0.8832 1
```

Top 10 peaks for 5° ≤ 2θ ≤ 70°, by angle:
hkl	d [Å]	I (rel.)
0 1 0	10.649	71
0 0 2	7.738	100
2 -2 1	4.855	65
-2 2 1	4.819	47
1 2 0	3.972	63
2 -3 1	3.900	72
0 0 4	3.867	64
-3 1 1	3.772	85
1 2 -4	3.163	89
-2 3 3	3.004	77